Calculated X-ray powder pattern
Compound: PmNd7Hg2
Radiation: Cu Kα
Structure: a structure optimized by DFT (GGA-PBE)
Kinematic intensities with the Lorentz-polarization factor, no thermal factor.

Structure:
abc: 9.1768 9.1768 5.4259
angles: 90.00 90.00 119.43
Fractional coordinates of all 10 atoms:
Pm1 0.0000 0.0000 0.0000
Nd1 0.0629 0.3027 0.5000
Nd2 0.2321 0.7679 0.0000
Nd3 0.3027 0.0629 0.5000
Nd4 0.5000 0.5000 0.5000
Nd5 0.6973 0.9371 0.5000
Nd6 0.7679 0.2321 0.0000
Nd7 0.9371 0.6973 0.5000
Hg1 0.3059 0.6941 0.5000
Hg2 0.6941 0.3059 0.5000

The 10 most intense peaks (2θ from 15° to 90°), most intense first:
d [Å], 2theta, intensity
2.625, 34.16, 100
2.644, 33.90, 70
3.010, 29.68, 66
5.426, 16.34, 64
2.713, 33.02, 61
2.015, 45.00, 50
3.200, 27.88, 46
4.628, 19.18, 33
4.489, 19.78, 29
1.533, 60.37, 27

=====

Calculated X-ray powder pattern
Compound: Sm4YEr8
Radiation: Cu Kα
Structure: a structure optimized by DFT (GGA-PBE)
Kinematic intensities with the Lorentz-polarization factor, no thermal factor.

Structure:
abc: 7.7472 7.7472 7.7472
angles: 90.00 90.00 90.00
Fractional coordinates of all 13 atoms:
Sm1 0.0000 0.0000 0.0000
Sm2 0.0000 0.5000 0.5000
Sm3 0.5000 0.0000 0.5000
Sm4 0.5000 0.5000 0.0000
Y1 0.5000 0.5000 0.5000
Er1 0.2401 0.2401 0.2401
Er2 0.2401 0.2401 0.7599
Er3 0.2401 0.7599 0.2401
Er4 0.2401 0.7599 0.7599
Er5 0.7599 0.2401 0.2401
Er6 0.7599 0.2401 0.7599
Er7 0.7599 0.7599 0.2401
Er8 0.7599 0.7599 0.7599

The 10 most intense peaks (2θ from 15° to 90°), most intense first:
d [Å], 2theta, intensity
2.739, 32.69, 100
1.581, 58.35, 37
1.937, 46.91, 18
1.225, 78.00, 15
4.473, 19.85, 15
3.874, 22.96, 12
1.370, 68.51, 11
2.336, 38.54, 8
1.732, 52.85, 4
1.118, 87.17, 4

=====

Calculated X-ray powder pattern
Compound: Sc3UTc4
Radiation: Cu Kα
Structure: a structure optimized by DFT (GGA-PBE)
Kinematic intensities with the Lorentz-polarization factor, no thermal factor.

Structure:
abc: 6.5158 6.5158 6.5158
angles: 90.00 90.00 90.00
Fractional coordinates of all 16 atoms:
Sc1 0.0000 0.0000 0.5000
Sc2 0.0000 0.5000 0.0000
Sc3 0.0000 0.5000 0.5000
Sc4 0.5000 0.0000 0.0000
Sc5 0.5000 0.0000 0.5000
Sc6 0.5000 0.5000 0.0000
U1 0.0000 0.0000 0.0000
U2 0.5000 0.5000 0.5000
Tc1 0.2500 0.2500 0.2500
Tc2 0.2500 0.2500 0.7500
Tc3 0.2500 0.7500 0.2500
Tc4 0.2500 0.7500 0.7500
Tc5 0.7500 0.2500 0.2500
Tc6 0.7500 0.2500 0.7500
Tc7 0.7500 0.7500 0.2500
Tc8 0.7500 0.7500 0.7500

The 10 most intense peaks (2θ from 15° to 90°), most intense first:
d [Å], 2theta, intensity
2.304, 39.10, 100
1.330, 70.85, 34
4.607, 19.26, 32
2.660, 33.69, 17
1.629, 56.49, 17
1.152, 84.02, 11
1.741, 52.55, 10
2.060, 43.94, 9
1.278, 74.21, 6
1.536, 60.26, 5

=====

Calculated X-ray powder pattern
Compound: Bi3BO6
Radiation: Cu Kα
Structure: a structure optimized by DFT (GGA-PBE)
Kinematic intensities with the Lorentz-polarization factor, no thermal factor.

Structure:
abc: 12.5285 9.7806 4.9990
angles: 90.00 90.00 90.00
Fractional coordinates of all 40 atoms:
Bi1 0.0703 0.2500 0.0097
Bi2 0.1385 0.5617 0.5024
Bi3 0.1385 0.9383 0.5024
Bi4 0.3615 0.0617 0.0024
Bi5 0.3615 0.4383 0.0024
Bi6 0.4297 0.7500 0.5097
Bi7 0.5703 0.2500 0.4903
Bi8 0.6385 0.5617 0.9976
Bi9 0.6385 0.9383 0.9976
Bi10 0.8615 0.0617 0.4976
Bi11 0.8615 0.4383 0.4976
Bi12 0.9297 0.7500 0.9903
B1 0.2130 0.7500 0.0565
B2 0.2870 0.2500 0.5565
B3 0.7130 0.7500 0.4435
B4 0.7870 0.2500 0.9435
O1 0.0312 0.0900 0.2808
O2 0.0312 0.4100 0.2808
O3 0.0975 0.7500 0.1787
O4 0.2193 0.7500 0.7675
O5 0.2382 0.1224 0.6764
O6 0.2382 0.3776 0.6764
O7 0.2618 0.6224 0.1764
O8 0.2618 0.8776 0.1764
O9 0.2807 0.2500 0.2675
O10 0.4025 0.2500 0.6787
O11 0.4688 0.5900 0.7808
O12 0.4688 0.9100 0.7808
O13 0.5312 0.0900 0.2192
O14 0.5312 0.4100 0.2192
O15 0.5975 0.7500 0.3213
O16 0.7193 0.7500 0.7325
O17 0.7382 0.1224 0.8236
O18 0.7382 0.3776 0.8236
O19 0.7618 0.6224 0.3236
O20 0.7618 0.8776 0.3236
O21 0.7807 0.2500 0.2325
O22 0.9025 0.2500 0.8213
O23 0.9688 0.5900 0.7192
O24 0.9688 0.9100 0.7192

The 10 most intense peaks (2θ from 15° to 90°), most intense first:
d [Å], 2theta, intensity
3.367, 26.47, 100
2.892, 30.92, 54
3.205, 27.84, 46
3.046, 29.32, 43
1.891, 48.12, 42
4.194, 21.18, 36
1.846, 49.36, 36
2.500, 35.93, 24
1.685, 54.46, 20
3.132, 28.50, 19

=====

Calculated X-ray powder pattern
Compound: Be4Pb5
Radiation: Cu Kα
Structure: a structure optimized by DFT (GGA-PBE)
Kinematic intensities with the Lorentz-polarization factor, no thermal factor.

Structure:
abc: 7.8002 7.8002 7.8002
angles: 93.39 93.39 151.83
Fractional coordinates of all 9 atoms:
Be1 0.0000 0.4070 0.4070
Be2 0.0000 0.5930 0.5930
Be3 0.4070 0.0000 0.4070
Be4 0.5930 0.0000 0.5930
Pb1 0.0000 0.0000 0.0000
Pb2 0.3303 0.3303 0.6605
Pb3 0.3303 0.6697 0.0000
Pb4 0.6697 0.3303 0.0000
Pb5 0.6697 0.6697 0.3395

The 10 most intense peaks (2θ from 15° to 90°), most intense first:
d [Å], 2theta, intensity
2.599, 34.50, 100
2.522, 35.60, 45
2.974, 30.05, 45
1.470, 63.24, 34
3.783, 23.52, 24
1.517, 61.11, 19
1.783, 51.23, 16
2.142, 42.18, 14
1.760, 51.94, 13
1.300, 72.76, 12

=====

Calculated X-ray powder pattern
Compound: ThZrInAu
Radiation: Cu Kα
Structure: a structure optimized by DFT (GGA-PBE)
Kinematic intensities with the Lorentz-polarization factor, no thermal factor.

Structure:
abc: 3.3319 3.3319 8.5569
angles: 90.00 90.00 90.00
Fractional coordinates of all 4 atoms:
Th1 0.0000 0.0000 0.0000
Zr1 0.0000 0.0000 0.4708
In1 0.5000 0.5000 0.7138
Au1 0.5000 0.5000 0.2564

The 10 most intense peaks (2θ from 15° to 90°), most intense first:
d [Å], 2theta, intensity
2.629, 34.11, 100
2.356, 38.20, 39
1.407, 66.44, 29
1.584, 58.26, 19
1.666, 55.13, 13
3.105, 28.75, 13
2.139, 42.25, 12
1.314, 71.82, 10
1.311, 72.03, 8
1.816, 50.23, 6

=====

Calculated X-ray powder pattern
Compound: Tb2ReC3
Radiation: Cu Kα
Structure: a structure optimized by DFT (GGA-PBE)
Kinematic intensities with the Lorentz-polarization factor, no thermal factor.

Structure:
abc: 3.6033 11.3025 5.0789
angles: 90.00 90.00 90.00
Fractional coordinates of all 12 atoms:
Tb1 0.0000 0.1594 0.0000
Tb2 0.0000 0.8406 0.0000
Tb3 0.5000 0.3406 0.5000
Tb4 0.5000 0.6594 0.5000
Re1 0.0000 0.5000 0.0041
Re2 0.5000 0.0000 0.5041
C1 0.0000 0.0000 0.6871
C2 0.0000 0.3552 0.8086
C3 0.0000 0.6448 0.8086
C4 0.5000 0.1448 0.3086
C5 0.5000 0.5000 0.1871
C6 0.5000 0.8552 0.3086

The 10 most intense peaks (2θ from 15° to 90°), most intense first:
d [Å], 2theta, intensity
3.026, 29.52, 100
2.939, 30.42, 96
2.604, 34.44, 60
1.818, 50.18, 50
1.586, 58.17, 29
2.539, 35.35, 29
1.548, 59.74, 28
1.544, 59.90, 14
1.884, 48.32, 14
1.532, 60.41, 13

=====

Calculated X-ray powder pattern
Compound: BaLa2In6
Radiation: Cu Kα
Structure: a structure optimized by DFT (GGA-PBE)
Kinematic intensities with the Lorentz-polarization factor, no thermal factor.

Structure:
abc: 8.8828 8.8828 3.9300
angles: 90.00 90.00 120.00
Fractional coordinates of all 9 atoms:
Ba1 0.0000 0.0000 0.0000
La1 0.3333 0.6667 0.0000
La2 0.6667 0.3333 0.0000
In1 0.0000 0.3384 0.5000
In2 0.0000 0.6616 0.5000
In3 0.3384 0.0000 0.5000
In4 0.3384 0.3384 0.5000
In5 0.6616 0.0000 0.5000
In6 0.6616 0.6616 0.5000

The 10 most intense peaks (2θ from 15° to 90°), most intense first:
d [Å], 2theta, intensity
2.943, 30.37, 100
2.564, 34.99, 73
1.560, 59.24, 31
1.933, 47.00, 29
1.544, 59.92, 28
1.480, 62.76, 13
1.182, 81.38, 12
1.175, 81.97, 11
1.965, 46.20, 11
1.282, 73.92, 8